La2CuSi2Au: theoretical X-ray diffraction stick pattern (Cu Kα (λ = 1.5418 Å)), based on a DFT-relaxed cell (GGA-PBE, OQMD).
Kinematic intensities with the Lorentz-polarization factor, no thermal factor.

Most intense lines, 15 to 90 degrees two-theta, low angle first:
2θ (°)	I_rel	h k l
23.7	13	1 0 0
26.1	32	1 0 1
32.1	100	1 0 2
41.7	43	1 1 0
43.5	13	0 0 4
53.6	23	2 0 2
61.9	26	1 1 4
70.1	21	2 1 2

```
data_La2CuSi2Au
_cell_length_a 4.3307
_cell_length_b 4.3307
_cell_length_c 8.3168
_cell_angle_alpha 90.00
_cell_angle_beta 90.00
_cell_angle_gamma 120.00
_space_group_name_H-M_alt 'P -6 m 2'
_space_group_IT_number 187
_space_group_name_Hall 'P -6 2'
loop_
_atom_site_label
_atom_site_type_symbol
_atom_site_fract_x
_atom_site_fract_y
_atom_site_fract_z
La1 La 0.0000 0.0000 0.2438
Cu1 Cu 0.6667 0.3333 0.0000
Si1 Si 0.3333 0.6667 0.0000
Si2 Si 0.6667 0.3333 0.5000
Au1 Au 0.3333 0.6667 0.5000
```

NaZr3Te5: theoretical X-ray diffraction stick pattern (Cu Kα (λ = 1.5418 Å)), based on a DFT-relaxed cell (GGA-PBE, OQMD).
Kinematic intensities with the Lorentz-polarization factor, no thermal factor.

Most intense lines, 15 to 90 degrees two-theta, low angle first:
2θ (°)	I_rel	h k l
16.1	39	1 0 0
26.6	55	1 0 2
28.1	83	1 1 0
34.3	54	2 0 1
35.4	54	1 1 2
39.1	100	2 0 2
58.2	29	2 2 0
67.8	24	2 2 3

```
data_NaZr3Te5
_cell_length_a 6.3444
_cell_length_b 6.3444
_cell_length_c 8.4478
_cell_angle_alpha 90.00
_cell_angle_beta 90.00
_cell_angle_gamma 120.00
_space_group_name_H-M_alt 'P 6/m m m'
_space_group_IT_number 191
_space_group_name_Hall '-P 6 2'
loop_
_atom_site_label
_atom_site_type_symbol
_atom_site_fract_x
_atom_site_fract_y
_atom_site_fract_z
Na1 Na 0.0000 0.0000 0.0000
Zr1 Zr 0.0000 0.5000 0.5000
Te1 Te 0.0000 0.0000 0.5000
Te2 Te 0.3333 0.6667 0.2304
```

Er2Mg2O5: theoretical X-ray diffraction stick pattern (Cu Kα (λ = 1.5418 Å)), based on a DFT-relaxed cell (GGA-PBE, OQMD).
Kinematic intensities with the Lorentz-polarization factor, no thermal factor.

Most intense lines, 15 to 90 degrees two-theta, low angle first:
2θ (°)	I_rel	h k l
21.9	27	0 0 2
22.0	57	1 0 0
31.3	100	1 0 2
38.6	16	1 1 2
44.9	21	2 0 0
50.5	24	2 1 0
55.6	18	1 1 4
55.7	28	2 1 2

```
data_Er2Mg2O5
_cell_length_a 4.0358
_cell_length_b 4.0358
_cell_length_c 8.1095
_cell_angle_alpha 90.00
_cell_angle_beta 90.00
_cell_angle_gamma 90.00
_space_group_name_H-M_alt 'P 4/m m m'
_space_group_IT_number 123
_space_group_name_Hall '-P 4 2'
loop_
_atom_site_label
_atom_site_type_symbol
_atom_site_fract_x
_atom_site_fract_y
_atom_site_fract_z
Er1 Er 0.0000 0.0000 0.2350
Mg1 Mg 0.5000 0.5000 0.0000
Mg2 Mg 0.5000 0.5000 0.5000
O1 O 0.0000 0.0000 0.5000
O2 O 0.0000 0.5000 0.1599
```

Tm4CdSnB2: theoretical X-ray diffraction stick pattern (Cu Kα (λ = 1.5418 Å)), based on a DFT-relaxed cell (GGA-PBE, OQMD).
Kinematic intensities with the Lorentz-polarization factor, no thermal factor.

Most intense lines, 15 to 90 degrees two-theta, low angle first:
2θ (°)	I_rel	h k l
28.7	23	1 0 0
32.8	21	0 0 6
33.1	100	1 0 3
44.1	15	1 0 6
50.8	21	1 1 0
58.8	17	1 0 9
61.8	21	1 1 6
61.9	17	2 0 3

```
data_Tm4CdSnB2
_cell_length_a 3.5975
_cell_length_b 3.5975
_cell_length_c 16.3764
_cell_angle_alpha 90.00
_cell_angle_beta 90.00
_cell_angle_gamma 120.00
_space_group_name_H-M_alt 'P -6 m 2'
_space_group_IT_number 187
_space_group_name_Hall 'P -6 2'
loop_
_atom_site_label
_atom_site_type_symbol
_atom_site_fract_x
_atom_site_fract_y
_atom_site_fract_z
Tm1 Tm 0.0000 0.0000 0.1561
Tm2 Tm 0.3333 0.6667 0.3384
Cd1 Cd 0.0000 0.0000 0.5000
Sn1 Sn 0.3333 0.6667 0.0000
B1 B 0.6667 0.3333 0.2485
```

Pr2Er2CI5: theoretical X-ray diffraction stick pattern (Cu Kα (λ = 1.5418 Å)), based on a DFT-relaxed cell (GGA-PBE, OQMD).
Kinematic intensities with the Lorentz-polarization factor, no thermal factor.

Most intense lines, 15 to 90 degrees two-theta, low angle first:
2θ (°)	I_rel	h k l
28.2	35	6 0 0
29.2	17	3 1 1
29.8	100	1 1 -2
32.3	39	5 1 0
40.5	16	2 0 -4
41.3	23	5 1 2
41.7	22	7 1 -2
44.8	20	0 2 0

```
data_Pr2Er2CI5
_cell_length_a 19.4728
_cell_length_b 4.0451
_cell_length_c 8.9029
_cell_angle_alpha 90.00
_cell_angle_beta 102.51
_cell_angle_gamma 90.00
_space_group_name_H-M_alt 'C 1 2/m 1'
_space_group_IT_number 12
loop_
_space_group_symop_operation_xyz
'x,y,z'
'-x,-y,-z'
'-x,y,-z'
'x,-y,z'
'x+1/2,y+1/2,z'
'-x+1/2,-y+1/2,-z'
'-x+1/2,y+1/2,-z'
'x+1/2,-y+1/2,z'
loop_
_atom_site_label
_atom_site_type_symbol
_atom_site_fract_x
_atom_site_fract_y
_atom_site_fract_z
Pr1 Pr 0.0010 0.0000 0.3037
Er1 Er 0.1256 0.5000 0.5620
C1 C 0.0000 0.5000 0.5000
I1 I 0.0000 0.5000 0.0000
I2 I 0.1671 0.0000 0.8231
I3 I 0.1705 0.0000 0.3420
```

TbErPd2Pb: theoretical X-ray diffraction stick pattern (Cu Kα (λ = 1.5418 Å)), based on a DFT-relaxed cell (GGA-PBE, OQMD).
Kinematic intensities with the Lorentz-polarization factor, no thermal factor.

Most intense lines, 15 to 90 degrees two-theta, low angle first:
2θ (°)	I_rel	h k l
27.6	25	0 1 3
33.1	100	1 1 1
34.5	54	1 0 4
36.8	48	0 1 5
37.4	19	1 1 3
42.7	28	0 2 0
56.0	27	1 2 4
64.1	19	2 1 5

```
data_TbErPd2Pb
_cell_length_a 3.6137
_cell_length_b 4.2347
_cell_length_c 14.9559
_cell_angle_alpha 90.00
_cell_angle_beta 90.00
_cell_angle_gamma 90.00
_space_group_name_H-M_alt 'A m m 2'
_space_group_IT_number 38
loop_
_space_group_symop_operation_xyz
'x,y,z'
'-x,-y,z'
'-x,y,z'
'x,-y,z'
'x,y+1/2,z+1/2'
'-x,-y+1/2,z+1/2'
'-x,y+1/2,z+1/2'
'x,-y+1/2,z+1/2'
loop_
_atom_site_label
_atom_site_type_symbol
_atom_site_fract_x
_atom_site_fract_y
_atom_site_fract_z
Tb1 Tb 0.0000 0.0000 0.0000
Er1 Er 0.0000 0.0000 0.7289
Pd1 Pd 0.5000 0.0000 0.1739
Pd2 Pd 0.5000 0.0000 0.5583
Pb1 Pb 0.5000 0.0000 0.3645
```

TbTm2In3Pt2: theoretical X-ray diffraction stick pattern (Cu Kα (λ = 1.5418 Å)), based on a DFT-relaxed cell (GGA-PBE, OQMD).
Kinematic intensities with the Lorentz-polarization factor, no thermal factor.

Most intense lines, 15 to 90 degrees two-theta, low angle first:
2θ (°)	I_rel	h k l
34.1	100	1 0 2
35.7	69	0 5 1
36.8	69	1 2 2
40.7	19	0 3 3
56.0	21	1 7 1
63.5	26	2 5 1
66.5	17	1 8 2
69.9	23	1 3 5

```
data_TbTm2In3Pt2
_cell_length_a 3.6082
_cell_length_b 13.3092
_cell_length_c 7.6757
_cell_angle_alpha 90.00
_cell_angle_beta 90.00
_cell_angle_gamma 90.00
_space_group_name_H-M_alt 'A m m 2'
_space_group_IT_number 38
loop_
_space_group_symop_operation_xyz
'x,y,z'
'-x,-y,z'
'-x,y,z'
'x,-y,z'
'x,y+1/2,z+1/2'
'-x,-y+1/2,z+1/2'
'-x,y+1/2,z+1/2'
'x,-y+1/2,z+1/2'
loop_
_atom_site_label
_atom_site_type_symbol
_atom_site_fract_x
_atom_site_fract_y
_atom_site_fract_z
Tb1 Tb 0.0000 0.0000 0.0000
Tm1 Tm 0.0000 0.2108 0.3686
In1 In 0.5000 0.0000 0.3500
In2 In 0.5000 0.1161 0.6941
Pt1 Pt 0.5000 0.1693 0.0806
```

BaSrGe2Pd2: theoretical X-ray diffraction stick pattern (Cu Kα (λ = 1.5418 Å)), based on a DFT-relaxed cell (GGA-PBE, OQMD).
Kinematic intensities with the Lorentz-polarization factor, no thermal factor.

Most intense lines, 15 to 90 degrees two-theta, low angle first:
2θ (°)	I_rel	h k l
28.6	68	1 0 2
30.8	30	1 1 1
35.4	100	1 1 2
41.6	57	2 0 0
45.4	21	1 0 4
51.2	26	2 1 2
59.6	21	1 1 5
71.9	25	3 1 2

```
data_BaSrGe2Pd2
_cell_length_a 4.3423
_cell_length_b 4.3423
_cell_length_c 8.9899
_cell_angle_alpha 90.00
_cell_angle_beta 90.00
_cell_angle_gamma 90.00
_space_group_name_H-M_alt 'P 4 m m'
_space_group_IT_number 99
loop_
_space_group_symop_operation_xyz
'x,y,z'
'-y,x,z'
'-x,-y,z'
'y,-x,z'
'-x,y,z'
'y,x,z'
'x,-y,z'
'-y,-x,z'
loop_
_atom_site_label
_atom_site_type_symbol
_atom_site_fract_x
_atom_site_fract_y
_atom_site_fract_z
Ba1 Ba 0.0000 0.0000 0.0000
Sr1 Sr 0.5000 0.5000 0.5956
Ge1 Ge 0.0000 0.0000 0.4624
Ge2 Ge 0.5000 0.5000 0.1638
Pd1 Pd 0.0000 0.5000 0.3122
```

What did the seventh record say?
TbTm2In3Pt2: theoretical X-ray diffraction stick pattern (Cu Kα (λ = 1.5418 Å)), based on a DFT-relaxed cell (GGA-PBE, OQMD).
Kinematic intensities with the Lorentz-polarization factor, no thermal factor.

Most intense lines, 15 to 90 degrees two-theta, low angle first:
2θ (°)	I_rel	h k l
34.1	100	1 0 2
35.7	69	0 5 1
36.8	69	1 2 2
40.7	19	0 3 3
56.0	21	1 7 1
63.5	26	2 5 1
66.5	17	1 8 2
69.9	23	1 3 5

```
data_TbTm2In3Pt2
_cell_length_a 3.6082
_cell_length_b 13.3092
_cell_length_c 7.6757
_cell_angle_alpha 90.00
_cell_angle_beta 90.00
_cell_angle_gamma 90.00
_space_group_name_H-M_alt 'A m m 2'
_space_group_IT_number 38
loop_
_space_group_symop_operation_xyz
'x,y,z'
'-x,-y,z'
'-x,y,z'
'x,-y,z'
'x,y+1/2,z+1/2'
'-x,-y+1/2,z+1/2'
'-x,y+1/2,z+1/2'
'x,-y+1/2,z+1/2'
loop_
_atom_site_label
_atom_site_type_symbol
_atom_site_fract_x
_atom_site_fract_y
_atom_site_fract_z
Tb1 Tb 0.0000 0.0000 0.0000
Tm1 Tm 0.0000 0.2108 0.3686
In1 In 0.5000 0.0000 0.3500
In2 In 0.5000 0.1161 0.6941
Pt1 Pt 0.5000 0.1693 0.0806
```